Entry 1:
Simulated powder XRD pattern
Compound: DyAl10Re2
Radiation: Cu Kα (weighted mean of Kα1 and Kα2)
Structure: a crystal structure in Alexandria, relaxed with PBE
Lines closer than 0.1° are merged.

Principal peaks in the range 5° ≤ 2θ ≤ 70°, by angle:
Position (°2θ)  I/Imax
17.82  66.9
19.73  31.3
22.67  36.5
26.22  36.4
27.57  100.0
29.79  39.2
38.71  37.5
39.81  79.8
40.04  32.0
40.17  59.5
43.82  30.2
44.83  30.5

Crystal structure
Unit cell a=9.305 b=10.359 c=18.016 alpha=90.00 beta=90.00 gamma=90.00
Space group Cmcm (No. 63)
Inequivalent atoms, fractional coordinates:
Dy: 0.000 0.000 0.000 [4 per cell]
Dy: 0.000 0.257 0.250 [4 per cell]
Al: 0.000 0.034 0.674 [8 per cell]
Al: 0.000 0.249 0.593 [8 per cell]
Al: 0.000 0.283 0.074 [8 per cell]
Al: 0.000 0.494 0.643 [8 per cell]
Al: 0.150 0.237 0.750 [8 per cell]
Al: 0.151 0.500 0.000 [8 per cell]
Al: 0.213 0.487 0.250 [8 per cell]
Al: 0.218 0.128 0.131 [16 per cell]
Al: 0.250 0.250 0.000 [8 per cell]
Re: 0.248 0.378 0.121 [16 per cell]



Entry 2:
Simulated powder XRD pattern
Compound: DyAlRe
Radiation: Cu Kα (weighted mean of Kα1 and Kα2)
Structure: a crystal structure in Alexandria, relaxed with PBE
Lines closer than 0.1° are merged.

Principal peaks in the range 5° ≤ 2θ ≤ 70°, by angle:
Position (°2θ)  I/Imax
20.27  23.6
23.34  20.0
32.18  46.1
33.04  43.6
38.33  24.4
38.97  53.7
39.18  100.0
40.13  19.2
41.21  24.1
59.56  24.0
62.09  24.1
69.32  27.6

Crystal structure
Unit cell a=5.354 b=5.564 c=7.622 alpha=90.00 beta=90.00 gamma=90.00
Space group Imma (No. 74)
Inequivalent atoms, fractional coordinates:
Dy: 0.000 0.250 0.117 [4 per cell]
Al: 0.000 0.000 0.500 [4 per cell]
Re: 0.250 0.250 0.750 [4 per cell]



Entry 3:
Simulated powder XRD pattern
Compound: Dy2Al5Rh
Radiation: Cu Kα (weighted mean of Kα1 and Kα2)
Structure: a crystal structure in Alexandria, relaxed with PBE
Lines closer than 0.1° are merged.

Principal peaks in the range 5° ≤ 2θ ≤ 70°, by angle:
Position (°2θ)  I/Imax
17.88  15.8
20.09  30.1
28.56  48.9
29.82  100.0
33.90  14.5
36.22  61.4
40.83  44.9
49.24  18.4
51.38  40.7
59.12  14.2
61.94  17.5
65.83  16.7

Crystal structure
Unit cell a=6.251 b=6.251 c=8.151 alpha=90.00 beta=90.00 gamma=90.00
Space group I4mm (No. 107)
Inequivalent atoms, fractional coordinates:
Dy: 0.000 0.500 0.000 [4 per cell]
Al: 0.000 0.000 0.016 [2 per cell]
Al: 0.219 0.219 0.754 [8 per cell]
Rh: 0.000 0.000 0.316 [2 per cell]



Entry 4:
Simulated powder XRD pattern
Compound: Dy4AlZn2Rh
Radiation: Cu Kα (weighted mean of Kα1 and Kα2)
Structure: a crystal structure in Alexandria, relaxed with PBE
Lines closer than 0.1° are merged.

Principal peaks in the range 5° ≤ 2θ ≤ 70°, by angle:
Position (°2θ)  I/Imax
10.88  6.8
20.80  4.6
25.19  38.1
35.86  100.0
35.99  93.2
44.33  8.7
49.55  6.0
51.72  32.9
58.27  8.0
58.46  7.1
64.50  51.4
64.80  13.7

Crystal structure
Unit cell a=5.0087 b=5.0087 c=24.4032 alpha=90.00 beta=90.00 gamma=120.00
Space group R-3m (No. 166, hexagonal axes)
Inequivalent atoms, fractional coordinates:
Dy: 0.0000 0.0000 0.1194 [6 per cell]
Dy: 0.0000 0.0000 0.3711 [6 per cell]
Al: 0.0000 0.0000 0.5000 [3 per cell]
Zn: 0.0000 0.0000 0.2431 [6 per cell]
Rh: 0.0000 0.0000 0.0000 [3 per cell]



Entry 5:
Simulated powder XRD pattern
Compound: Dy3Al12Ru4
Radiation: Cu Kα (weighted mean of Kα1 and Kα2)
Structure: a crystal structure in Alexandria, relaxed with PBE
Lines closer than 0.1° are merged.

Principal peaks in the range 5° ≤ 2θ ≤ 70°, by angle:
Position (°2θ)  I/Imax
14.85  40.3
25.17  59.2
29.96  99.8
31.09  21.5
36.41  34.6
36.67  100.0
37.46  37.1
41.08  82.1
51.68  17.3
56.81  37.5
60.42  19.7
63.02  22.2

Crystal structure
Unit cell a=8.7879 b=8.7879 c=9.6025 alpha=90.00 beta=90.00 gamma=120.00
Space group P6_3/mmc (No. 194)
Inequivalent atoms, fractional coordinates:
Dy: 0.1937 0.3874 0.2500 [6 per cell]
Al: 0.0000 0.0000 0.2500 [2 per cell]
Al: 0.1234 0.5617 0.7500 [6 per cell]
Al: 0.1627 0.3254 0.5770 [12 per cell]
Al: 0.3333 0.6667 0.0163 [4 per cell]
Ru: 0.0000 0.0000 0.0000 [2 per cell]
Ru: 0.0000 0.5000 0.0000 [6 per cell]



Entry 6:
Simulated powder XRD pattern
Compound: Dy3Al9Ru2
Radiation: Cu Kα (weighted mean of Kα1 and Kα2)
Structure: a crystal structure in Alexandria, relaxed with PBE
Lines closer than 0.1° are merged.

Principal peaks in the range 5° ≤ 2θ ≤ 70°, by angle:
Position (°2θ)  I/Imax
18.57  24.0
22.51  89.3
23.46  34.2
28.74  22.0
34.94  23.1
35.38  100.0
35.57  53.5
36.83  44.6
37.92  30.2
41.64  37.3
55.89  29.0
69.48  18.3

Crystal structure
Unit cell a=4.338 b=9.557 c=12.412 alpha=90.00 beta=90.00 gamma=90.00
Space group Immm (No. 71)
Inequivalent atoms, fractional coordinates:
Dy: 0.000 0.000 0.000 [2 per cell]
Dy: 0.000 0.000 0.298 [4 per cell]
Al: 0.000 0.283 0.127 [8 per cell]
Al: 0.000 0.361 0.351 [8 per cell]
Al: 0.000 0.500 0.000 [2 per cell]
Ru: 0.000 0.172 0.500 [4 per cell]



Entry 7:
Simulated powder XRD pattern
Compound: Dy6Al2SiS14
Radiation: Cu Kα (weighted mean of Kα1 and Kα2)
Structure: a crystal structure in Alexandria, relaxed with PBE
Lines closer than 0.1° are merged.

Principal peaks in the range 5° ≤ 2θ ≤ 70°, by angle:
Position (°2θ)  I/Imax
18.32  50.5
21.11  27.1
23.69  24.9
25.98  100.0
28.04  23.2
35.41  27.6
36.99  31.0
37.15  30.9
41.58  34.2
41.69  32.1
51.16  20.4
52.14  23.6

Crystal structure
Unit cell a=9.7205 b=9.7205 c=5.9151 alpha=90.00 beta=90.00 gamma=120.00
Space group P3 (No. 143)
Inequivalent atoms, fractional coordinates:
Dy: 0.0346 0.5541 0.0000 [3 per cell]
Dy: 0.2996 0.1051 0.5157 [3 per cell]
Al: 0.3333 0.6667 0.5862 [1 per cell]
Al: 0.6667 0.3333 0.6946 [1 per cell]
Si: 0.0000 0.0000 0.0928 [1 per cell]
S: 0.0000 0.0000 0.7326 [1 per cell]
S: 0.0847 0.8547 0.2389 [3 per cell]
S: 0.1860 0.4241 0.7431 [3 per cell]
S: 0.3333 0.6667 0.2108 [1 per cell]
S: 0.4306 0.1952 0.9306 [3 per cell]
S: 0.5180 0.4285 0.4650 [3 per cell]